Record 1
Computed XRD peak list
Compound: MnInF3
Radiation: λ = 1.5418 Å (Cu Kα)
Structure: a PBE+U-relaxed structure
Lines closer than 0.1° are merged.

Peak list (10 most intense, 15° ≤ 2θ ≤ 90°, by intensity)
2θ = 29.3°, d 3.046, I 100, (1 1 0); 2θ = 41.9°, d 2.156, I 84, (0 2 0); 2θ = 29.2°, d 3.058, I 67, (1 0 1); 2θ = 29.4°, d 3.036, I 33, (1 0 -1); 2θ = 52.1°, d 1.755, I 26, (1 1 -2); 2θ = 36.2°, d 2.482, I 23, (1 1 -1); 2θ = 51.8°, d 1.766, I 20, (1 1 2); 2θ = 52.0°, d 1.759, I 20, (-1 1 2); 2θ = 60.8°, d 1.524, I 17, (2 2 0); 2θ = 20.6°, d 4.311, I 15, (1 0 0)

```
data_MnInF3
_cell_length_a 4.3091
_cell_length_b 4.3111
_cell_length_c 4.3132
_cell_angle_alpha 89.80
_cell_angle_beta 89.53
_cell_angle_gamma 89.93
_space_group_name_H-M_alt 'P 1'
_space_group_IT_number 1
loop_
_space_group_symop_operation_xyz
'x,y,z'
loop_
_atom_site_label
_atom_site_fract_x
_atom_site_fract_y
_atom_site_fract_z
Mn1 0.0000 0.0000 0.0000
In1 0.5086 0.4980 0.4957
F1 0.9996 0.0017 0.5016
F2 0.4991 0.0071 0.0136
F3 0.9953 0.5008 0.0044
```



Record 2
Computed XRD peak list
Compound: MnInF3
Radiation: λ = 1.5418 Å (Cu Kα)
Structure: a PBE+U-relaxed structure
Lines closer than 0.1° are merged.

Peak list (10 most intense, 15° ≤ 2θ ≤ 90°, by intensity)
2θ = 29.3°, d 3.048, I 100, (1 1 0); 2θ = 41.9°, d 2.154, I 50, (2 0 0); 2θ = 52.0°, d 1.757, I 24, (-1 1 2); 2θ = 29.4°, d 3.039, I 20, (1 0 -1); 2θ = 51.9°, d 1.762, I 20, (1 1 2); 2θ = 60.8°, d 1.523, I 15, (2 2 0); 2θ = 36.0°, d 2.492, I 14, (1 1 1); 2θ = 36.2°, d 2.484, I 14, (1 1 -1); 2θ = 60.7°, d 1.526, I 10, (2 0 2); 2θ = 68.9°, d 1.362, I 10, (1 3 0)

```
data_MnInF3
_cell_length_a 4.3080
_cell_length_b 4.3089
_cell_length_c 4.3097
_cell_angle_alpha 89.90
_cell_angle_beta 89.72
_cell_angle_gamma 89.96
_space_group_name_H-M_alt 'P 1'
_space_group_IT_number 1
loop_
_space_group_symop_operation_xyz
'x,y,z'
loop_
_atom_site_label
_atom_site_fract_x
_atom_site_fract_y
_atom_site_fract_z
Mn1 0.0000 0.0000 0.0000
In1 0.5067 0.4978 0.4955
F1 0.4991 0.0067 0.0131
F2 0.9946 0.5008 0.0047
F3 0.9984 0.0019 0.5016
```



Record 3
Computed XRD peak list
Compound: K2LiMnF6
Radiation: λ = 1.5418 Å (Cu Kα)
Structure: a PBE+U-relaxed structure
Lines closer than 0.1° are merged.

Peak list (10 most intense, 15° ≤ 2θ ≤ 90°, by intensity)
2θ = 44.5°, d 2.034, I 100, (4 0 0); 2θ = 31.1°, d 2.877, I 95, (2 2 0); 2θ = 18.9°, d 4.698, I 71, (1 1 1); 2θ = 38.3°, d 2.349, I 60, (2 2 2); 2θ = 64.8°, d 1.438, I 53, (4 4 0); 2θ = 55.3°, d 1.661, I 33, (4 2 2); 2θ = 36.6°, d 2.453, I 27, (3 1 1); 2θ = 82.1°, d 1.174, I 16, (4 4 4); 2θ = 73.6°, d 1.287, I 14, (6 2 0); 2θ = 77.9°, d 1.227, I 12, (6 2 2)

```
data_K2LiMnF6
_cell_length_a 8.1370
_cell_length_b 8.1370
_cell_length_c 8.1370
_cell_angle_alpha 90.00
_cell_angle_beta 90.00
_cell_angle_gamma 90.00
_space_group_name_H-M_alt 'F m -3 m'
_space_group_IT_number 225
_space_group_name_Hall '-F 4 2 3'
loop_
_atom_site_label
_atom_site_fract_x
_atom_site_fract_y
_atom_site_fract_z
K1 0.2500 0.2500 0.2500
Li1 0.0000 0.0000 0.0000
Mn1 0.0000 0.0000 0.5000
F1 0.0000 0.0000 0.2589
```



Record 4
Computed XRD peak list
Compound: K2LiVF6
Radiation: λ = 1.5418 Å (Cu Kα)
Structure: a PBE+U-relaxed structure
Lines closer than 0.1° are merged.

Peak list (10 most intense, 15° ≤ 2θ ≤ 90°, by intensity)
2θ = 44.4°, d 2.041, I 100, (4 0 0); 2θ = 31.0°, d 2.887, I 88, (2 2 0); 2θ = 38.2°, d 2.357, I 69, (2 2 2); 2θ = 18.8°, d 4.714, I 59, (1 1 1); 2θ = 64.6°, d 1.443, I 53, (4 4 0); 2θ = 55.1°, d 1.667, I 31, (4 2 2); 2θ = 36.5°, d 2.462, I 22, (3 1 1); 2θ = 89.9°, d 1.091, I 16, (6 4 2); 2θ = 81.7°, d 1.179, I 16, (4 4 4); 2θ = 77.6°, d 1.231, I 15, (6 2 2)

```
data_K2LiVF6
_cell_length_a 8.1650
_cell_length_b 8.1650
_cell_length_c 8.1650
_cell_angle_alpha 90.00
_cell_angle_beta 90.00
_cell_angle_gamma 90.00
_space_group_name_H-M_alt 'F m -3 m'
_space_group_IT_number 225
_space_group_name_Hall '-F 4 2 3'
loop_
_atom_site_label
_atom_site_fract_x
_atom_site_fract_y
_atom_site_fract_z
K1 0.2500 0.2500 0.2500
Li1 0.0000 0.0000 0.0000
V1 0.0000 0.0000 0.5000
F1 0.0000 0.0000 0.2576
```



Record 5
Computed XRD peak list
Compound: K2NaMgVOF5
Radiation: λ = 1.5418 Å (Cu Kα)
Structure: a PBE+U-relaxed structure
Lines closer than 0.1° are merged.

Peak list (10 most intense, 15° ≤ 2θ ≤ 90°, by intensity)
2θ = 30.4°, d 2.936, I 100, (1 3 0); 2θ = 42.1°, d 2.145, I 81, (4 0 -2); 2θ = 16.9°, d 5.260, I 64, (1 1 0); 2θ = 17.7°, d 5.007, I 58, (0 2 0); 2θ = 35.9°, d 2.504, I 54, (0 4 0); 2θ = 28.8°, d 3.095, I 45, (2 0 0); 2θ = 20.0°, d 4.442, I 42, (0 0 1); 2θ = 29.0°, d 3.077, I 37, (2 0 -2); 2θ = 56.5°, d 1.629, I 35, (4 4 -2); 2θ = 44.6°, d 2.030, I 32, (0 2 2)

```
data_K2NaMgVOF5
_cell_length_a 8.5803
_cell_length_b 10.0150
_cell_length_c 6.1585
_cell_angle_alpha 90.00
_cell_angle_beta 133.83
_cell_angle_gamma 90.00
_space_group_name_H-M_alt 'C 1 m 1'
_space_group_IT_number 8
loop_
_space_group_symop_operation_xyz
'x,y,z'
'x,-y,z'
'x+1/2,y+1/2,z'
'x+1/2,-y+1/2,z'
loop_
_atom_site_label
_atom_site_fract_x
_atom_site_fract_y
_atom_site_fract_z
K1 0.0000 0.1886 0.0000
Na1 0.0656 0.0000 0.6403
Mg1 0.0873 0.5000 0.1934
V1 0.0693 0.5000 0.6550
O1 0.2914 0.5000 0.6149
F1 0.0713 0.2850 0.6738
F2 0.2916 0.5000 0.1398
F3 0.3388 0.0000 0.1620
F4 0.3705 0.0000 0.7564
```



Record 6
Computed XRD peak list
Compound: K2NaMgVOF5
Radiation: λ = 1.5418 Å (Cu Kα)
Structure: a PBE+U-relaxed structure
Lines closer than 0.1° are merged.

Peak list (10 most intense, 15° ≤ 2θ ≤ 90°, by intensity)
2θ = 43.7°, d 2.072, I 100, (2 2 0); 2θ = 29.3°, d 3.051, I 74, (1 0 3); 2θ = 16.4°, d 5.414, I 61, (0 0 2); 2θ = 42.2°, d 2.143, I 44, (1 2 3); 2θ = 29.7°, d 3.010, I 39, (0 2 0); 2θ = 28.8°, d 3.096, I 39, (0 1 3); 2θ = 27.1°, d 3.290, I 37, (1 1 2); 2θ = 31.3°, d 2.855, I 32, (2 0 0); 2θ = 17.6°, d 5.051, I 29, (1 0 1); 2θ = 55.4°, d 1.659, I 28, (2 1 5)

```
data_K2NaMgVOF5
_cell_length_a 5.7102
_cell_length_b 6.0204
_cell_length_c 10.8283
_cell_angle_alpha 90.00
_cell_angle_beta 90.00
_cell_angle_gamma 90.00
_space_group_name_H-M_alt 'I m m 2'
_space_group_IT_number 44
loop_
_space_group_symop_operation_xyz
'x,y,z'
'-x,-y,z'
'-x,y,z'
'x,-y,z'
'x+1/2,y+1/2,z+1/2'
'-x+1/2,-y+1/2,z+1/2'
'-x+1/2,y+1/2,z+1/2'
'x+1/2,-y+1/2,z+1/2'
loop_
_atom_site_label
_atom_site_fract_x
_atom_site_fract_y
_atom_site_fract_z
K1 0.0000 0.0000 0.0000
K2 0.0000 0.0000 0.3617
Na1 0.0000 0.5000 0.2782
Mg1 0.0000 0.0000 0.6648
V1 0.0000 0.5000 0.6688
O1 0.0000 0.5000 0.4793
F1 0.0000 0.5000 0.8670
F2 0.2382 0.2233 0.6834
```